[1]
Diffraction record for NaNdGa4Se8. The X-ray powder pattern is computed, not measured: it uses DFT lattice parameters and positions (GGA-PBE) and copper Kα.
Intensities are scaled so that the largest is 100.

Peak list (12 most intense, 2θ from 15° to 90°, low angle first)
2theta	intensity
16.12	18
16.64	25
23.25	36
28.73	22
29.95	100
33.65	40
36.80	80
37.76	22
44.82	13
50.55	35
52.04	38
59.50	15

Atomic structure:
```
56
Lattice="0.0000 10.6537 10.6559 6.4165 0.0000 10.6559 6.4165 10.6537 0.0000" Properties=species:S:1:pos:R:3 pbc="T T T"
Na 4.8124 7.9903 2.5929
Na 8.0206 13.3172 7.9208
Na 4.8124 7.9903 13.3909
Na 8.0206 13.3172 18.7188
Nd 1.6041 2.6634 2.6640
Nd 4.8124 7.9903 7.9919
Nd 8.0206 13.3172 13.3198
Nd 11.2289 18.6440 18.6478
Ga 8.5406 9.4847 5.3473
Ga 4.8249 5.1091 5.2729
Ga 8.5406 6.4959 10.6364
Ga 11.7488 11.8227 10.6753
Ga 8.0081 10.4359 10.6009
Ga 4.7999 5.1091 10.7109
Ga 4.7999 10.8715 5.2729
Ga 1.0842 6.4959 5.3473
Ga 11.7488 14.8116 15.9644
Ga 8.0332 10.4359 16.0388
Ga 8.0332 16.1984 10.6009
Ga 4.8249 10.8715 10.7109
Ga 1.0842 9.4847 10.6364
Ga 4.2924 14.8116 10.6753
Ga 8.0081 16.1984 16.0388
Ga 4.2924 11.8227 15.9644
Se 9.6730 10.6115 7.1965
Se 6.4647 10.6959 1.8686
Se 3.1600 5.2847 1.8686
Se 6.3424 5.3733 7.1880
Se 9.6644 8.6802 10.5911
Se 3.1687 3.3533 5.2631
Se 6.4561 3.3533 10.7207
Se 6.2065 8.8516 5.3145
Se 3.4182 7.1290 5.3145
Se 6.4561 12.6273 5.2631
Se 9.4148 12.4559 10.6425
Se 6.2065 7.1290 10.6693
Se 6.4647 5.2847 14.1152
Se 3.2824 5.3733 8.7958
Se 6.3424 10.6073 8.7958
Se 9.5506 10.7002 14.1237
Se 3.2824 10.6073 7.1880
Se 6.4907 10.7002 12.5159
Se 9.5506 15.9341 12.5159
Se 6.3683 16.0228 7.1965
Se 6.6265 14.1784 10.6425
Se 3.4182 8.8516 10.6693
Se 6.3769 8.6802 16.0486
Se 9.4148 14.1784 15.9972
Se 6.6265 12.4559 15.9972
Se 6.3769 17.9541 10.5911
Se 9.6644 17.9541 16.0486
Se 3.1687 12.6273 10.7207
Se 6.4907 15.9341 14.1237
Se 9.6730 16.0228 19.4431
Se 6.3683 10.6115 19.4431
Se 3.1600 10.6959 14.1152
```



[2]
Diffraction record for Cu14Te. The X-ray powder pattern is computed, not measured: it uses DFT lattice parameters and positions (GGA-PBE) and copper Kα.
Intensities are scaled so that the largest is 100.

Peak list (12 most intense, 2θ from 15° to 90°, low angle first)
2theta	intensity
40.35	31
42.88	100
43.11	21
43.45	99
44.02	53
45.53	40
49.39	29
50.44	32
50.55	22
50.97	30
52.18	18
74.53	25

Atomic structure:
```
30
Lattice="6.4639 -1.8092 0.0000 6.4639 1.8092 0.0000 -0.0814 0.0000 29.1587" Properties=species:S:1:pos:R:3 pbc="T T T"
Cu 0.2096 0.0000 9.3231
Cu 0.7042 0.0000 11.8497
Cu 1.2042 0.0000 14.3439
Cu 1.7017 0.0000 16.8316
Cu 2.1859 0.0000 19.3105
Cu 2.7162 0.0000 8.8359
Cu 3.1842 0.0000 11.3448
Cu 3.6903 0.0000 13.8352
Cu 4.1880 0.0000 16.3181
Cu 4.6938 0.0000 18.8025
Cu 5.1473 0.0000 21.2480
Cu 5.2370 0.0000 8.3080
Cu 5.6740 0.0000 10.8392
Cu 6.1789 0.0000 13.3316
Cu 6.6676 0.0000 15.8272
Cu 7.1725 0.0000 18.3196
Cu 7.6095 0.0000 20.8508
Cu 7.6992 0.0000 7.9107
Cu 8.1526 0.0000 10.3562
Cu 8.6585 0.0000 12.8406
Cu 9.1562 0.0000 15.3236
Cu 9.6623 0.0000 17.8140
Cu 10.1303 0.0000 20.3229
Cu 10.6606 0.0000 9.8482
Cu 11.1448 0.0000 12.3271
Cu 11.6423 0.0000 14.8149
Cu 12.1423 0.0000 17.3090
Cu 12.6369 0.0000 19.8356
Te 2.6610 0.0000 22.1364
Te 10.1855 0.0000 7.0223
```



[3]
Diffraction record for As2Pd3O8. The X-ray powder pattern is computed, not measured: it uses DFT lattice parameters and positions (GGA-PBE) and copper Kα.
Intensities are scaled so that the largest is 100.

Peak list (12 most intense, 2θ from 15° to 90°, low angle first)
2theta	intensity
17.61	21
20.12	32
27.25	100
29.28	75
30.08	77
31.96	24
32.35	59
35.67	46
39.30	23
42.71	22
46.53	21
47.40	21

Atomic structure:
```
13
Lattice="5.2215 0.0000 0.0000 2.1481 5.2778 0.0000 0.3851 1.9132 6.1166" Properties=species:S:1:pos:R:3 pbc="T T T"
As 1.1993 1.2985 1.3241
As 6.5553 5.8924 4.7925
Pd 2.2484 2.9525 4.0233
Pd 3.6848 2.6389 0.0000
Pd 5.5063 4.2385 2.0933
O 1.7882 2.8524 2.0242
O 2.9929 5.9977 5.1622
O 2.5968 3.2175 5.9888
O 3.8011 5.3027 2.3507
O 3.9536 1.8883 3.7659
O 5.1579 3.9735 0.1279
O 4.7618 1.1933 0.9544
O 5.9665 4.3386 4.0925
```